For Cs2KTaBr6, the GGA-PBE geometry in the Materials Project gives the calculated XRD peak list in this record (copper Kα).
No peak broadening, texture or thermal motion is included.

Structure:
a = 11.591 Å, b = 11.591 Å, c = 11.591 Å
α = 90.00°, β = 90.00°, γ = 90.00°
Space group Fm-3m (No. 225)
Unique sites:
Cs 0.250 0.250 0.250 [8 per cell]
K 0.000 0.000 0.000 [4 per cell]
Ta 0.000 0.000 0.500 [4 per cell]
Br 0.000 0.000 0.273 [24 per cell]

Peak list (12 most intense, 2θ = 15–90°, sorted by position)
(hkl), 2theta, intensity
2 2 0, 21.69, 58
2 2 2, 26.64, 58
4 0 0, 30.86, 100
4 2 2, 38.03, 23
5 1 1, 40.44, 18
4 4 0, 44.20, 69
6 2 0, 49.75, 16
6 2 2, 52.36, 21
4 4 4, 54.88, 23
6 4 2, 59.70, 17
8 4 0, 73.01, 26
8 4 4, 81.33, 19